Structure and computed X-ray powder pattern of RbTiP2O7 (a structure optimized by DFT (PBE); Cu Kα).

Cell and atoms:
```
RbTiP2O7
1.0
7.6706 0.0000 0.0000
0.0000 10.4327 0.0000
-2.2775 0.0000 8.0438
Rb Ti P O
4 4 8 28
direct
0.1893 0.1828 0.0554
0.1893 0.3172 0.5554
0.8107 0.6828 0.4446
0.8107 0.8172 0.9446
0.2377 0.6016 0.2588
0.2377 0.8984 0.7588
0.7623 0.1016 0.2412
0.7623 0.3984 0.7412
0.1317 0.5975 0.8283
0.1317 0.9025 0.3283
0.4356 0.6344 0.6862
0.4356 0.8656 0.1862
0.5644 0.1344 0.8138
0.5644 0.3656 0.3138
0.8683 0.0975 0.6717
0.8683 0.4025 0.1717
0.0024 0.5006 0.2710
0.0024 0.9994 0.7710
0.0838 0.7336 0.7609
0.0838 0.7664 0.2609
0.1541 0.5893 0.0148
0.1541 0.9107 0.5148
0.3241 0.6077 0.5067
0.3241 0.8923 0.0067
0.3280 0.5591 0.8024
0.3280 0.9409 0.3024
0.3754 0.0757 0.7715
0.3754 0.4243 0.2715
0.4453 0.7233 0.2332
0.4453 0.7767 0.7332
0.5547 0.2233 0.2668
0.5547 0.2767 0.7668
0.6246 0.5757 0.7285
0.6246 0.9243 0.2285
0.6720 0.0591 0.6976
0.6720 0.4409 0.1976
0.6759 0.1077 0.9933
0.6759 0.3923 0.4933
0.8459 0.0893 0.4852
0.8459 0.4107 0.9852
0.9162 0.2336 0.7391
0.9162 0.2664 0.2391
0.9976 0.0006 0.2290
0.9976 0.4994 0.7290
```

The 10 most intense peaks (2θ from 10° to 90°), by angle:
(0 0 2), 2θ = 22.1°, intensity 194
(0 1 2), 2θ = 23.7°, intensity 132
(2 0 0), 2θ = 24.1°, intensity 85
(1 2 1), 2θ = 25.1°, intensity 213
(0 3 1), 2θ = 28.0°, intensity 360
(1 3 0), 2θ = 28.4°, intensity 249
(2 2 -1), 2θ = 29.3°, intensity 1000
(1 3 -3), 2θ = 41.6°, intensity 100
(0 0 4), 2θ = 45.1°, intensity 85
(4 2 -1), 2θ = 50.8°, intensity 87